Starting from the GGA+U geometry in Alexandria, the powder X-ray diffraction pattern of KYbMo2O8 was calculated for Cu Kα.
Lines closer than 0.1° are merged.

```
KYbMo2O8
1.0
5.4433 -5.2208 0.0000
5.4433 5.2208 0.0000
-5.1563 0.0000 5.8479
K Yb Mo O
2 2 4 16
Direct
0.1990 0.8010 0.7500
0.8010 0.1990 0.2500
0.2286 0.7714 0.2500
0.7714 0.2286 0.7500
0.3002 0.3072 0.7600
0.3072 0.3002 0.2600
0.6928 0.6998 0.7400
0.6998 0.6928 0.2400
0.0470 0.2115 0.6935
0.0685 0.3777 0.1225
0.2115 0.0470 0.1935
0.2269 0.3892 0.5600
0.3700 0.5855 0.0332
0.3777 0.0685 0.6225
0.3892 0.2269 0.0600
0.4145 0.6300 0.4668
0.5855 0.3700 0.5332
0.6108 0.7731 0.9400
0.6223 0.9315 0.3775
0.6300 0.4145 0.9668
0.7731 0.6108 0.4400
0.7885 0.9530 0.8065
0.9315 0.6223 0.8775
0.9530 0.7885 0.3065
```

Most intense lines, 2θ from 10° to 90°, sorted by position:
two_theta	d/Å	I/Imax
14.2	6.236	791
25.4	3.511	182
27.5	3.246	288
27.7	3.216	998
27.9	3.202	201
28.6	3.118	1000
30.6	2.924	454
46.7	1.946	374
52.1	1.756	207
53.7	1.708	261